The following is a computed XRD peak list of AgMo2O7. It was derived from a crystal structure in Alexandria, relaxed with GGA+U, using Cu Kα X-rays.

Largest 6 diffraction maxima, by angle, 10 to 80 degrees two-theta:
hkl 2 0 0, 3.179 Å, 28.07°, rel. 78; hkl 1 1 1, 3.110 Å, 28.71°, rel. 88; hkl 0 2 1, 3.040 Å, 29.38°, rel. 75; hkl 1 3 0, 2.971 Å, 30.08°, rel. 100; hkl 2 2 1, 2.197 Å, 41.08°, rel. 47; hkl 1 5 1, 1.716 Å, 53.38°, rel. 42

Crystal structure
```
data_AgMo2O7
_cell_length_a 6.3583
_cell_length_b 10.0826
_cell_length_c 3.8115
_cell_angle_alpha 90.00
_cell_angle_beta 90.00
_cell_angle_gamma 90.00
_space_group_name_H-M_alt 'C m m m'
_space_group_IT_number 65
_space_group_name_Hall '-C 2 2'
loop_
_atom_site_label
_atom_site_type_symbol
_atom_site_fract_x
_atom_site_fract_y
_atom_site_fract_z
_atom_site_occupancy
Ag1 Ag 0.0000 0.0000 0.0000 1
Mo1 Mo 0.0000 0.3089 0.5000 1
O1 O 0.0000 0.3062 0.0000 1
O2 O 0.0000 0.5000 0.5000 1
O3 O 0.1836 0.1447 0.5000 1
```